Computed XRD peak list of TbPuTl2O6 for a wavelength of 1.5418 Å, from a PBE-relaxed structure.
Neutral-atom scattering factors, no anomalous dispersion.

Peak list (12 most intense, 2θ from 10° to 90°, in order of rising 2θ)
two_theta	I (rel.)
17.7	3
29.1	100
34.3	1
35.9	1
41.6	26
51.6	42
55.0	1
60.4	17
63.4	1
68.4	19
76.0	6
83.4	23

Structure:
Unit cell a=6.135 b=6.135 c=6.135 alpha=60.00 beta=60.00 gamma=60.00
Positions (direct):
Tb  0.000  0.000  0.000
Pu  0.500  0.500  0.500
Tl  0.250  0.250  0.250
Tl  0.750  0.750  0.750
O  0.266  0.266  0.734
O  0.266  0.734  0.266
O  0.266  0.734  0.734
O  0.734  0.266  0.266
O  0.734  0.266  0.734
O  0.734  0.734  0.266

=====

Computed XRD peak list of InAsSe2 for a wavelength of 1.5418 Å, from a PBE-relaxed structure.
Neutral-atom scattering factors, no anomalous dispersion.

Peak list (12 most intense, 2θ from 10° to 90°, in order of rising 2θ)
two_theta	I (rel.)
25.4	36
30.6	32
36.3	100
40.2	32
48.6	13
48.9	13
51.8	19
64.9	18
73.9	9
82.7	9
83.0	9
85.1	8

Structure:
Unit cell a=3.727 b=3.744 c=14.025 alpha=90.00 beta=90.00 gamma=90.00
Positions (direct):
In  0.000  0.000  0.000
In  0.500  0.500  0.500
As  0.000  0.500  0.226
As  0.500  0.000  0.726
Se  0.000  0.000  0.426
Se  0.000  0.500  0.679
Se  0.500  0.000  0.179
Se  0.500  0.500  0.926